[1]
PrHoTm2Sc2: computed X-ray diffraction stick pattern (a wavelength of 1.5418 Å), based on DFT lattice parameters and positions (PBE).
Peak positions follow from Bragg's law for the DFT cell and can differ from measured ones.

Main lines, by angle (10° ≤ 2θ ≤ 90°):
| d_spacing | I_rel | h k l |
| --- | --- | --- |
| 3.880 | 24.0 | 1 2 0 |
| 2.746 | 100.0 | 0 3 1 |
| 2.731 | 19.7 | 0 0 2 |
| 1.944 | 7.4 | 2 4 0 |
| 1.938 | 14.5 | 2 2 2 |
| 1.585 | 18.9 | 0 6 0 |
| 1.579 | 15.0 | 0 3 3 |
| 1.436 | 16.3 | 4 3 1 |
| 1.371 | 4.6 | 0 6 2 |
| 1.152 | 5.3 | 4 3 3 |

Atomic structure:
Cell: 6.7428 9.5143 5.4615 Å, 90.00 90.00 90.00°
Sites, in units of the cell vectors:
1 Pr 0.0000 0.0000 0.0000
2 Pr 0.5000 0.5000 0.5000
3 Ho 0.0000 0.5000 0.5000
4 Ho 0.5000 0.0000 0.0000
5 Tm 0.2473 0.3335 0.0000
6 Tm 0.2527 0.8335 0.5000
7 Tm 0.7473 0.1665 0.5000
8 Tm 0.7527 0.6665 0.0000
9 Sc 0.2499 0.1668 0.5000
10 Sc 0.2501 0.6668 0.0000
11 Sc 0.7499 0.3332 0.0000
12 Sc 0.7501 0.8332 0.5000


[2]
Sm4FeS7: computed X-ray diffraction stick pattern (a wavelength of 1.5418 Å), based on DFT lattice parameters and positions (PBE).
Peak positions follow from Bragg's law for the DFT cell and can differ from measured ones.

Main lines, by angle (10° ≤ 2θ ≤ 90°):
| d_spacing | I_rel | h k l |
| --- | --- | --- |
| 4.203 | 13.7 | 2 0 0 |
| 3.583 | 100.0 | 2 0 1 |
| 3.427 | 16.3 | 0 0 2 |
| 2.656 | 40.5 | 2 0 2 |
| 2.593 | 19.0 | 3 0 1 |
| 2.426 | 39.9 | 2 2 0 |
| 2.008 | 46.8 | 2 0 3 |
| 1.980 | 15.5 | 2 2 2 |
| 1.771 | 14.0 | 1 4 1 |
| 1.547 | 14.5 | 4 0 3 |

Atomic structure:
Cell: 9.7056 9.7056 6.8532 Å, 90.00 90.00 120.00°
Sites, in units of the cell vectors:
1 Sm 0.1642 0.3761 0.0000
2 Sm 0.2119 0.8358 0.0000
3 Sm 0.3333 0.6667 0.4532
4 Sm 0.3761 0.2119 0.5000
5 Sm 0.6239 0.7881 0.0000
6 Sm 0.6667 0.3333 0.9532
7 Sm 0.7881 0.1642 0.5000
8 Sm 0.8358 0.6239 0.5000
9 Fe 0.0000 0.0000 0.2992
10 Fe 0.0000 0.0000 0.7992
11 S 0.0715 0.5549 0.2399
12 S 0.1074 0.2355 0.6056
13 S 0.1281 0.8926 0.6056
14 S 0.2355 0.1281 0.1056
15 S 0.3333 0.6667 0.8367
16 S 0.4451 0.5166 0.2399
17 S 0.4834 0.9285 0.2399
18 S 0.5166 0.0715 0.7399
19 S 0.5549 0.4834 0.7399
20 S 0.6667 0.3333 0.3367
21 S 0.7645 0.8719 0.6056
22 S 0.8719 0.1074 0.1056
23 S 0.8926 0.7645 0.1056
24 S 0.9285 0.4451 0.7399


[3]
Pd2I5Br: computed X-ray diffraction stick pattern (a wavelength of 1.5418 Å), based on DFT lattice parameters and positions (PBE).
Peak positions follow from Bragg's law for the DFT cell and can differ from measured ones.

Main lines, by angle (10° ≤ 2θ ≤ 90°):
| d_spacing | I_rel | h k l |
| --- | --- | --- |
| 8.221 | 100.0 | 0 0 1 |
| 6.654 | 18.3 | 1 0 0 |
| 6.566 | 17.1 | 0 1 0 |
| 6.124 | 23.9 | 0 1 1 |
| 5.423 | 28.6 | 1 1 0 |
| 3.940 | 44.0 | 1 1 -1 |
| 3.024 | 27.8 | 2 1 2 |
| 2.835 | 26.1 | 1 1 -2 |
| 2.718 | 21.1 | -1 2 1 |
| 1.773 | 17.0 | 3 -1 2 |

Atomic structure:
Cell: 7.0477 7.2541 8.8373 Å, 69.51 77.71 71.94°
Sites, in units of the cell vectors:
1 Pd 0.2316 0.1484 0.4469
2 Pd 0.7684 0.8516 0.5531
3 I 0.0000 0.5000 0.5000
4 I 0.0046 0.8609 0.7411
5 I 0.4828 0.1499 0.6283
6 I 0.5172 0.8501 0.3717
7 I 0.9954 0.1391 0.2589
8 Br 0.0000 0.5000 0.0000


[4]
BaSnW3: computed X-ray diffraction stick pattern (a wavelength of 1.5418 Å), based on DFT lattice parameters and positions (PBE).
Peak positions follow from Bragg's law for the DFT cell and can differ from measured ones.

Main lines, by angle (10° ≤ 2θ ≤ 90°):
| d_spacing | I_rel | h k l |
| --- | --- | --- |
| 5.103 | 25.5 | 1 0 0 |
| 2.946 | 94.9 | 1 1 1 |
| 2.551 | 100.0 | 2 0 0 |
| 2.282 | 13.7 | 2 1 0 |
| 1.804 | 72.0 | 2 2 0 |
| 1.539 | 41.1 | 3 1 1 |
| 1.473 | 24.9 | 2 2 2 |
| 1.276 | 11.7 | 4 0 0 |
| 1.171 | 16.9 | 3 3 1 |
| 1.141 | 33.8 | 4 2 0 |

Atomic structure:
Cell: 5.1028 5.1028 5.1028 Å, 90.00 90.00 90.00°
Sites, in units of the cell vectors:
1 Ba 0.0000 0.0000 0.0000
2 Sn 0.5000 0.5000 0.5000
3 W 0.0000 0.5000 0.5000
4 W 0.5000 0.0000 0.5000
5 W 0.5000 0.5000 0.0000


[5]
LiAl2H6BrO6: computed X-ray diffraction stick pattern (a wavelength of 1.5418 Å), based on DFT lattice parameters and positions (PBE).
Peak positions follow from Bragg's law for the DFT cell and can differ from measured ones.

Main lines, by angle (10° ≤ 2θ ≤ 90°):
| d_spacing | I_rel | h k l |
| --- | --- | --- |
| 7.476 | 20.6 | 0 0 2 |
| 4.474 | 12.8 | 1 0 0 |
| 3.839 | 100.0 | 1 0 2 |
| 3.738 | 18.7 | 0 0 4 |
| 2.869 | 13.2 | 1 0 4 |
| 2.293 | 12.1 | 1 1 3 |
| 2.177 | 14.7 | 1 0 6 |
| 2.125 | 33.0 | 1 1 4 |
| 1.649 | 14.2 | 2 1 2 |
| 1.514 | 15.7 | 1 1 8 |

Atomic structure:
Cell: 5.1661 5.1661 14.9527 Å, 90.00 90.00 120.00°
Sites, in units of the cell vectors:
1 Li 0.0000 0.0000 0.0000
2 Li 0.0000 0.0000 0.5000
3 Al 0.3333 0.6667 0.0000
4 Al 0.3333 0.6667 0.5000
5 Al 0.6667 0.3333 0.0000
6 Al 0.6667 0.3333 0.5000
7 H 0.0000 0.3180 0.1286
8 H 0.0000 0.3180 0.3714
9 H 0.0000 0.6819 0.6286
10 H 0.0000 0.6819 0.8714
11 H 0.3180 0.0000 0.1286
12 H 0.3180 0.0000 0.3714
13 H 0.3180 0.3180 0.6286
14 H 0.3180 0.3180 0.8714
15 H 0.6819 0.0000 0.6286
16 H 0.6819 0.0000 0.8714
17 H 0.6819 0.6819 0.1286
18 H 0.6819 0.6819 0.3714
19 Br 0.0000 0.0000 0.2500
20 Br 0.0000 0.0000 0.7500
21 O 0.0000 0.3680 0.0654
22 O 0.0000 0.3680 0.4346
23 O 0.0000 0.6320 0.5654
24 O 0.0000 0.6320 0.9346
25 O 0.3680 0.0000 0.0654
26 O 0.3680 0.0000 0.4346
27 O 0.3680 0.3680 0.5654
28 O 0.3680 0.3680 0.9346
29 O 0.6320 0.0000 0.5654
30 O 0.6320 0.0000 0.9346
31 O 0.6320 0.6320 0.0654
32 O 0.6320 0.6320 0.4346